Starting from a cell relaxed with GGA-PBE, the powder XRD pattern of Pr3Zn3Pt8 was simulated for Cu Kα, 1.54184 Å.
Neutral-atom scattering factors, no anomalous dispersion.

Most intense lines, 2θ from 5° to 70°, sorted by position:
- (0 2 0), d = 4.871 Å, intensity 11.0
- (1 0 3), d = 3.065 Å, intensity 16.8
- (0 2 4), d = 2.701 Å, intensity 18.8
- (1 3 0), d = 2.598 Å, intensity 100.0
- (1 1 4), d = 2.511 Å, intensity 13.8
- (1 3 2), d = 2.414 Å, intensity 10.7
- (1 0 5), d = 2.229 Å, intensity 33.7
- (2 0 0), d = 2.170 Å, intensity 34.8
- (1 4 1), d = 2.096 Å, intensity 10.5
- (0 3 5), d = 2.028 Å, intensity 39.1
- (2 3 3), d = 1.665 Å, intensity 10.3
- (2 3 5), d = 1.482 Å, intensity 11.0

Structural model:
Lattice parameters (Å, degrees): 4.340 9.742 12.985 90.00 90.00 90.00
Space group Immm (No. 71)
Asymmetric unit:
Pr  0.000  0.000  0.000 x2
Pr  0.000  0.000  0.301 x4
Zn  0.000  0.227  0.500 x4
Zn  0.000  0.500  0.000 x2
Pt  0.000  0.291  0.112 x8
Pt  0.000  0.361  0.326 x8